Simulated powder X-ray diffraction pattern
Compound: Lu3ScV4O12
Radiation: Cu Kα X-rays
Structure: a structure optimized by DFT (PBE+U)
Peak positions follow from Bragg's law for the DFT cell and can differ from measured ones.

Largest 10 diffraction maxima, low angle first, 2θ from 5° to 70°:
Position (°2θ), d [Å], I/Imax, hkl
23.0, 3.861, 24, 1 0 -1
23.3, 3.816, 29, 0 2 0
26.4, 3.379, 35, 1 1 1
32.1, 2.791, 31, 0 0 2
33.0, 2.714, 100, 1 2 -1
33.4, 2.682, 84, 1 2 1
34.2, 2.621, 27, 0 1 2
34.3, 2.612, 41, 2 0 0
47.7, 1.908, 26, 0 4 0
61.2, 1.515, 24, 3 2 1

Structural model:
```
data_Lu3ScV4O12
_cell_length_a 5.226
_cell_length_b 7.633
_cell_length_c 5.583
_cell_angle_alpha 90.00
_cell_angle_beta 91.39
_cell_angle_gamma 90.00
_space_group_name_H-M_alt 'P 1 m 1'
_space_group_IT_number 6
loop_
_space_group_symop_operation_xyz
'x,y,z'
'x,-y,z'
loop_
_atom_site_label
_atom_site_fract_x
_atom_site_fract_y
_atom_site_fract_z
_atom_site_occupancy
Lu1 0.000 0.000 0.000 1
Lu2 0.056 0.500 0.153 1
Lu3 0.546 0.000 0.509 1
Sc1 0.515 0.500 0.636 1
V1 0.027 0.252 0.578 1
V2 0.529 0.252 0.074 1
O1 0.161 0.000 0.630 1
O2 0.212 0.315 0.888 1
O3 0.344 0.321 0.393 1
O4 0.399 0.000 0.132 1
O5 0.658 0.500 0.007 1
O6 0.720 0.183 0.768 1
O7 0.843 0.187 0.267 1
O8 0.882 0.500 0.520 1
```